Diffraction record for NaZrHg2Mo. The PXRD pattern is simulated, not measured: it uses a GGA-PBE-relaxed structure and Cu Kα X-rays.

Cell and atoms:
```
5
Lattice="5.5044 0.0000 0.0000 0.0000 5.5044 0.0000 0.0000 0.0000 5.8219" Properties=species:S:1:pos:R:3 pbc="T T T"
Na 0.0000 0.0000 0.0000
Zr 0.0000 0.0000 2.9109
Hg 0.0000 2.7522 2.9109
Hg 2.7522 0.0000 2.9109
Mo 2.7522 2.7522 0.0000
```

Most intense lines, 2θ from 10° to 90°, by angle:
hkl 0 0 1, 15.22 deg, I = 73
hkl 1 0 1, 22.23 deg, I = 27
hkl 1 1 1, 27.57 deg, I = 100
hkl 0 0 2, 30.71 deg, I = 39
hkl 2 0 0, 32.53 deg, I = 68
hkl 2 0 1, 36.10 deg, I = 37
hkl 2 0 2, 45.35 deg, I = 54
hkl 2 2 0, 46.67 deg, I = 25
hkl 1 1 3, 52.71 deg, I = 17
hkl 3 1 1, 55.07 deg, I = 30
hkl 2 2 2, 56.92 deg, I = 27
hkl 4 2 2, 85.69 deg, I = 18